# 1
# Cs2InPbI6
Simulated powder diffraction line list, Cu Ka. Input: a GGA-PBE-relaxed structure.
No peak broadening, texture or thermal motion is included.

```
data_Cs2InPbI6
_chemical_formula_sum 'Cs2 In1 Pb1 I6'
_cell_length_a 6.2797
_cell_length_b 6.2797
_cell_length_c 12.5657
_cell_angle_alpha 90.00
_cell_angle_beta 90.00
_cell_angle_gamma 90.00
_space_group_name_H-M_alt 'P 4/m m m'
_space_group_IT_number 123
_space_group_name_Hall '-P 4 2'
loop_
_atom_site_label
_atom_site_type_symbol
_atom_site_fract_x
_atom_site_fract_y
_atom_site_fract_z
Cs1 Cs 0.0000 0.0000 0.2464
In1 In 0.5000 0.5000 0.0000
Pb1 Pb 0.5000 0.5000 0.5000
I1 I 0.0000 0.5000 0.0000
I2 I 0.0000 0.5000 0.5000
I3 I 0.5000 0.5000 0.2456
```

Principal peaks in the range 2θ from 5° to 70°, in order of rising 2θ:
index	2theta	d/Å	Rel. int.
0 0 2	14.10	6.281	28.2
1 1 0	19.99	4.441	28.3
1 1 2	24.55	3.626	52.6
2 0 0	28.42	3.140	100.0
2 2 0	40.63	2.221	75.7
4 2 0	66.59	1.404	34.7

---

# 2
# Cs2InSbI6
Simulated powder diffraction line list, Cu Ka. Input: a GGA-PBE-relaxed structure.
No peak broadening, texture or thermal motion is included.

```
data_Cs2InSbI6
_chemical_formula_sum 'Cs6 In3 Sb3 I18'
_cell_length_a 8.9478
_cell_length_b 8.9478
_cell_length_c 21.3942
_cell_angle_alpha 90.00
_cell_angle_beta 90.00
_cell_angle_gamma 120.00
_space_group_name_H-M_alt 'R 3'
_space_group_IT_number 146
_space_group_name_Hall 'R 3'
loop_
_atom_site_label
_atom_site_type_symbol
_atom_site_fract_x
_atom_site_fract_y
_atom_site_fract_z
Cs1 Cs 0.0000 0.0000 0.0000
Cs2 Cs 0.0000 0.0000 0.4964
In1 In 0.0000 0.0000 0.7465
Sb1 Sb 0.0000 0.0000 0.2465
I1 I 0.0152 0.4586 0.9949
I2 I 0.1255 0.7772 0.8315
```

Principal peaks in the range 2θ from 5° to 70°, in order of rising 2θ:
index	2theta	d/Å	Rel. int.
1 1 3	23.47	3.790	21.4
2 0 2	24.43	3.643	50.9
0 0 6	24.97	3.566	20.9
0 2 4	28.45	3.138	100.0
2 2 0	40.32	2.237	27.7
2 0 8	41.01	2.201	36.6

---

# 3
# CsScIn2I6
Simulated powder diffraction line list, Cu Ka. Input: a GGA-PBE-relaxed structure.
No peak broadening, texture or thermal motion is included.

```
data_CsScIn2I6
_chemical_formula_sum 'Cs1 Sc1 In2 I6'
_cell_length_a 8.5525
_cell_length_b 8.5617
_cell_length_c 9.1199
_cell_angle_alpha 90.04
_cell_angle_beta 117.95
_cell_angle_gamma 119.95
_space_group_name_H-M_alt 'P 1'
_space_group_IT_number 1
loop_
_space_group_symop_operation_xyz
'x,y,z'
loop_
_atom_site_label
_atom_site_type_symbol
_atom_site_fract_x
_atom_site_fract_y
_atom_site_fract_z
Cs1 Cs 0.0000 0.0000 0.0000
Sc1 Sc 0.9763 0.4882 0.4640
In1 In 0.5973 0.2985 0.8954
In2 In 0.6292 0.8151 0.4432
I1 I 0.1080 0.4459 0.2278
I2 I 0.1187 0.2776 0.6726
I3 I 0.3953 0.8412 0.6725
I4 I 0.5665 0.1210 0.2276
I5 I 0.7821 0.6616 0.2273
I6 I 0.8312 0.5546 0.6723
```

Principal peaks in the range 2θ from 5° to 70°, in order of rising 2θ:
index	2theta	d/Å	Rel. int.
1 0 0	14.21	6.231	23.0
2 -1 0	23.81	3.737	100.0
1 -2 2	31.32	2.856	71.6
1 2 0	35.65	2.519	27.3
-3 3 1	36.36	2.471	38.1
2 -1 2	41.13	2.195	23.9

---

# 4
# Cs2TmInI6
Simulated powder diffraction line list, Cu Ka. Input: a GGA-PBE-relaxed structure.
No peak broadening, texture or thermal motion is included.

```
data_Cs2TmInI6
_chemical_formula_sum 'Cs4 Tm2 In2 I12'
_cell_length_a 8.6914
_cell_length_b 9.1267
_cell_length_c 15.2715
_cell_angle_alpha 90.00
_cell_angle_beta 124.50
_cell_angle_gamma 90.00
_space_group_name_H-M_alt 'P 1 21/c 1'
_space_group_IT_number 14
loop_
_space_group_symop_operation_xyz
'x,y,z'
'-x,-y,-z'
'-x,y+1/2,-z+1/2'
'x,-y+1/2,z+1/2'
loop_
_atom_site_label
_atom_site_type_symbol
_atom_site_fract_x
_atom_site_fract_y
_atom_site_fract_z
Cs1 Cs 0.2279 0.0712 0.2511
Tm1 Tm 0.5000 0.0000 0.0000
In1 In 0.0000 0.0000 0.5000
I1 I 0.1765 0.1826 0.9601
I2 I 0.2798 0.7224 0.9606
I3 I 0.3475 0.0120 0.7674
```

Principal peaks in the range 2θ from 5° to 70°, in order of rising 2θ:
index	2theta	d/Å	Rel. int.
1 1 -1	14.07	6.294	31.2
1 1 -3	19.95	4.450	25.5
0 2 2	24.09	3.694	26.0
0 0 4	28.36	3.147	100.0
1 3 -1	31.15	2.871	21.4
3 1 -1	35.49	2.530	28.1

---

Repeat the third record exactly.
# CsScIn2I6
Simulated powder diffraction line list, Cu Ka. Input: a GGA-PBE-relaxed structure.
No peak broadening, texture or thermal motion is included.

```
data_CsScIn2I6
_chemical_formula_sum 'Cs1 Sc1 In2 I6'
_cell_length_a 8.5525
_cell_length_b 8.5617
_cell_length_c 9.1199
_cell_angle_alpha 90.04
_cell_angle_beta 117.95
_cell_angle_gamma 119.95
_space_group_name_H-M_alt 'P 1'
_space_group_IT_number 1
loop_
_space_group_symop_operation_xyz
'x,y,z'
loop_
_atom_site_label
_atom_site_type_symbol
_atom_site_fract_x
_atom_site_fract_y
_atom_site_fract_z
Cs1 Cs 0.0000 0.0000 0.0000
Sc1 Sc 0.9763 0.4882 0.4640
In1 In 0.5973 0.2985 0.8954
In2 In 0.6292 0.8151 0.4432
I1 I 0.1080 0.4459 0.2278
I2 I 0.1187 0.2776 0.6726
I3 I 0.3953 0.8412 0.6725
I4 I 0.5665 0.1210 0.2276
I5 I 0.7821 0.6616 0.2273
I6 I 0.8312 0.5546 0.6723
```

Principal peaks in the range 2θ from 5° to 70°, in order of rising 2θ:
index	2theta	d/Å	Rel. int.
1 0 0	14.21	6.231	23.0
2 -1 0	23.81	3.737	100.0
1 -2 2	31.32	2.856	71.6
1 2 0	35.65	2.519	27.3
-3 3 1	36.36	2.471	38.1
2 -1 2	41.13	2.195	23.9